(1)
Simulated powder XRD pattern
Compound: Fe2CoTc
Radiation: Cu Kα (weighted mean of Kα1 and Kα2)
Structure: the PBE geometry in Alexandria
Neutral-atom scattering factors, no anomalous dispersion.

Main lines, in order of rising 2θ (5° ≤ 2θ ≤ 70°):
2theta  d [Å]  I_rel  h k l
14.41  6.149  4  0 0 1
29.05  3.074  2  0 0 2
31.85  2.809  2  1 0 0
35.12  2.555  8  1 0 1
43.65  2.074  100  1 0 2
44.19  2.050  2  0 0 3
45.67  1.986  45  1 1 0
60.20  1.537  8  0 0 4
65.43  1.426  3  1 1 3
66.57  1.405  13  2 0 0

Structural model:
```
data_Fe2CoTc
_symmetry_space_group_name_H-M 'P 4 m m'
_symmetry_Int_Tables_number 99
_cell_length_a 2.809
_cell_length_b 2.809
_cell_length_c 6.149
_cell_angle_alpha 90.00
_cell_angle_beta 90.00
_cell_angle_gamma 90.00
loop_
_symmetry_equiv_pos_as_xyz
'x,y,z'
'-y,x,z'
'-x,-y,z'
'y,-x,z'
'-x,y,z'
'y,x,z'
'x,-y,z'
'-y,-x,z'
loop_
_atom_site_label
_atom_site_type_symbol
_atom_site_fract_x
_atom_site_fract_y
_atom_site_fract_z
Fe1 Fe 0.000 0.000 0.000
Fe2 Fe 0.500 0.500 0.235
Co1 Co 0.500 0.500 0.773
Tc1 Tc 0.000 0.000 0.494
```


(2)
Simulated powder XRD pattern
Compound: La6MnSb15
Radiation: Cu Kα (weighted mean of Kα1 and Kα2)
Structure: the PBE geometry in Alexandria
Neutral-atom scattering factors, no anomalous dispersion.

Main lines, in order of rising 2θ (5° ≤ 2θ ≤ 70°):
2theta  d [Å]  I_rel  h k l
24.57  3.623  23  4 2 0
26.75  3.333  15  0 6 0
28.36  3.147  25  4 2 -1
29.11  3.068  18  4 4 0
30.48  2.933  73  1 5 -1
31.76  2.818  14  5 3 0
33.83  2.650  100  3 3 1
41.88  2.157  29  2 0 -2
43.02  2.103  20  4 8 0
46.77  1.943  18  8 0 0

Structural model:
```
data_La6MnSb15
_symmetry_space_group_name_H-M 'C 1 m 1'
_symmetry_Int_Tables_number 8
_cell_length_a 16.133
_cell_length_b 19.999
_cell_length_c 4.314
_cell_angle_alpha 90.00
_cell_angle_beta 105.45
_cell_angle_gamma 90.00
loop_
_symmetry_equiv_pos_as_xyz
'x,y,z'
'x,-y,z'
'x+1/2,y+1/2,z'
'x+1/2,-y+1/2,z'
loop_
_atom_site_label
_atom_site_type_symbol
_atom_site_fract_x
_atom_site_fract_y
_atom_site_fract_z
La1 La 0.000 0.134 0.000
La2 La 0.140 0.322 0.140
La3 La 0.276 0.134 0.275
Mn1 Mn 0.420 0.000 0.419
Sb1 Sb 0.033 0.500 0.032
Sb2 Sb 0.133 0.000 0.132
Sb3 Sb 0.139 0.199 0.638
Sb4 Sb 0.225 0.500 0.227
Sb5 Sb 0.285 0.397 0.784
Sb6 Sb 0.308 0.000 0.806
Sb7 Sb 0.351 0.302 0.351
Sb8 Sb 0.420 0.206 0.919
Sb9 Sb 0.496 0.119 0.496
Sb10 Sb 0.498 0.500 0.498
```


(3)
Simulated powder XRD pattern
Compound: PaZn2Cu2O7
Radiation: Cu Kα (weighted mean of Kα1 and Kα2)
Structure: the PBE geometry in Alexandria
Neutral-atom scattering factors, no anomalous dispersion.

Main lines, in order of rising 2θ (5° ≤ 2θ ≤ 70°):
2theta  d [Å]  I_rel  h k l
10.61  8.334  100  0 0 3
20.48  4.336  33  0 1 2
23.94  3.717  57  1 0 4
26.25  3.394  20  0 1 5
31.66  2.826  60  1 0 7
33.58  2.669  56  1 1 0
35.31  2.542  20  1 1 3
46.82  1.941  22  0 2 7
58.84  1.569  21  2 1 7
60.04  1.541  16  3 0 0

Structural model:
```
data_PaZn2Cu2O7
_symmetry_space_group_name_H-M 'R 3 2'
_symmetry_Int_Tables_number 155
_symmetry_space_group_name_Hall 'R 3 2"'
_cell_length_a 5.3378
_cell_length_b 5.3378
_cell_length_c 25.0033
_cell_angle_alpha 90.00
_cell_angle_beta 90.00
_cell_angle_gamma 120.00
loop_
_atom_site_label
_atom_site_type_symbol
_atom_site_fract_x
_atom_site_fract_y
_atom_site_fract_z
Pa1 Pa 0.0000 0.0000 0.0000
Zn1 Zn 0.0000 0.0000 0.4266
Cu1 Cu 0.0000 0.0000 0.2733
O1 O 0.0000 0.0000 0.5000
O2 O 0.0088 0.3525 0.7227
```


(4)
Simulated powder XRD pattern
Compound: CrAgP2Se6
Radiation: Cu Kα (weighted mean of Kα1 and Kα2)
Structure: the PBE geometry in Alexandria
Neutral-atom scattering factors, no anomalous dispersion.

Main lines, in order of rising 2θ (5° ≤ 2θ ≤ 70°):
2theta  d [Å]  I_rel  h k l
12.04  7.350  89  0 0 1
24.22  3.675  26  0 0 2
28.25  3.159  23  2 0 -1
29.18  3.061  24  1 3 -1
32.30  2.771  100  1 3 1
32.60  2.747  53  2 0 -2
43.04  2.101  16  2 0 2
43.53  2.079  34  1 3 -3
49.44  1.843  42  0 6 0
60.49  1.530  14  2 6 -2

Structural model:
```
data_CrAgP2Se6
_symmetry_space_group_name_H-M 'C 1 2 1'
_symmetry_Int_Tables_number 5
_cell_length_a 6.387
_cell_length_b 11.059
_cell_length_c 7.624
_cell_angle_alpha 90.00
_cell_angle_beta 105.39
_cell_angle_gamma 90.00
loop_
_symmetry_equiv_pos_as_xyz
'x,y,z'
'-x,y,-z'
'x+1/2,y+1/2,z'
'-x+1/2,y+1/2,-z'
loop_
_atom_site_label
_atom_site_type_symbol
_atom_site_fract_x
_atom_site_fract_y
_atom_site_fract_z
Cr1 Cr 0.000 0.000 0.000
Ag1 Ag 0.000 0.334 0.000
P1 P 0.048 0.667 0.151
Se1 Se 0.209 0.845 0.232
Se2 Se 0.227 0.010 0.769
Se3 Se 0.238 0.145 0.231
```


(5)
Simulated powder XRD pattern
Compound: Ca8HgN4
Radiation: Cu Kα (weighted mean of Kα1 and Kα2)
Structure: the PBE geometry in Alexandria
Neutral-atom scattering factors, no anomalous dispersion.

Main lines, in order of rising 2θ (5° ≤ 2θ ≤ 70°):
2theta  d [Å]  I_rel  h k l
9.97  8.875  45  0 0 1
14.11  6.276  15  2 0 0
20.01  4.438  23  0 0 2
22.35  3.978  24  4 0 -1
22.45  3.960  23  2 0 -3
25.59  3.481  20  1 1 -1
29.34  3.044  32  1 1 1
30.21  2.958  40  6 0 -3
32.70  2.739  100  3 1 -3
35.77  2.510  16  5 1 -3

Structural model:
```
data_Ca8HgN4
_symmetry_space_group_name_H-M 'C 1 m 1'
_symmetry_Int_Tables_number 8
_cell_length_a 17.734
_cell_length_b 3.623
_cell_length_c 12.514
_cell_angle_alpha 90.00
_cell_angle_beta 134.78
_cell_angle_gamma 90.00
loop_
_symmetry_equiv_pos_as_xyz
'x,y,z'
'x,-y,z'
'x+1/2,y+1/2,z'
'x+1/2,-y+1/2,z'
loop_
_atom_site_label
_atom_site_type_symbol
_atom_site_fract_x
_atom_site_fract_y
_atom_site_fract_z
Ca1 Ca 0.000 0.000 0.000
Ca2 Ca 0.009 0.000 0.271
Ca3 Ca 0.043 0.000 0.696
Ca4 Ca 0.150 0.500 0.607
Ca5 Ca 0.184 0.500 0.032
Ca6 Ca 0.193 0.500 0.303
Ca7 Ca 0.304 0.000 0.942
Ca8 Ca 0.389 0.000 0.361
Hg1 Hg 0.346 0.000 0.651
N1 N 0.000 0.500 0.136
N2 N 0.015 0.000 0.474
N3 N 0.178 0.500 0.829
N4 N 0.193 0.000 0.167
```


(6)
Simulated powder XRD pattern
Compound: SrAc5Tl6
Radiation: Cu Kα (weighted mean of Kα1 and Kα2)
Structure: the PBE geometry in Alexandria
Neutral-atom scattering factors, no anomalous dispersion.

Main lines, in order of rising 2θ (5° ≤ 2θ ≤ 70°):
2theta  d [Å]  I_rel  h k l
30.56  2.925  100  1 2 1
30.67  2.915  50  1 2 -2
43.61  2.075  10  2 0 2
43.85  2.065  9  2 0 -4
44.00  2.058  9  0 4 0
54.26  1.691  20  3 2 0
54.41  1.686  20  3 2 -3
54.50  1.684  20  2 4 -1
63.66  1.462  10  4 0 -2
63.86  1.458  6  2 4 -4

Structural model:
```
data_SrAc5Tl6
_symmetry_space_group_name_H-M 'P 1 2/m 1'
_symmetry_Int_Tables_number 10
_cell_length_a 5.850
_cell_length_b 8.232
_cell_length_c 9.250
_cell_angle_alpha 90.00
_cell_angle_beta 108.14
_cell_angle_gamma 90.00
loop_
_symmetry_equiv_pos_as_xyz
'x,y,z'
'-x,-y,-z'
'-x,y,-z'
'x,-y,z'
loop_
_atom_site_label
_atom_site_type_symbol
_atom_site_fract_x
_atom_site_fract_y
_atom_site_fract_z
Sr1 Sr 0.000 0.000 0.000
Ac1 Ac 0.000 0.500 0.000
Ac2 Ac 0.332 0.500 0.664
Ac3 Ac 0.337 0.000 0.673
Tl1 Tl 0.166 0.246 0.332
Tl2 Tl 0.500 0.251 0.000
```